Theoretical X-ray diffraction stick pattern of LiBeMo for Cu Ka, from the PBE geometry in Alexandria.
Lines closer than 0.1° are merged.

Largest 12 diffraction maxima, by angle, 2θ = 10–90°:
hkl 0 0 2, d = 5.505 Å, 16.10°, I = 100; hkl 0 0 4, d = 2.752 Å, 32.53°, I = 19; hkl 1 0 1, d = 2.560 Å, 35.05°, I = 60; hkl 1 0 3, d = 2.139 Å, 42.25°, I = 47; hkl 1 1 0, d = 1.861 Å, 48.93°, I = 15; hkl 1 1 2, d = 1.763 Å, 51.85°, I = 18; hkl 1 0 5, d = 1.689 Å, 54.32°, I = 16; hkl 1 1 4, d = 1.542 Å, 60.00°, I = 12; hkl 1 0 7, d = 1.350 Å, 69.64°, I = 8; hkl 1 1 6, d = 1.307 Å, 72.31°, I = 9; hkl 2 1 1, d = 1.171 Å, 82.38°, I = 10; hkl 2 1 3, d = 1.121 Å, 86.90°, I = 12

Crystal structure
a = 2.6324 Å, b = 2.6324 Å, c = 11.0092 Å
α = 90.00°, β = 90.00°, γ = 90.00°
Space group I4mm (No. 107)
Symmetry-distinct sites (fractional):
Li  0.0000  0.0000  0.0000 (multiplicity 2)
Be  0.0000  0.0000  0.3501 (multiplicity 2)
Mo  0.0000  0.0000  0.6968 (multiplicity 2)

=====

Theoretical X-ray diffraction stick pattern of NaLiGe4O9 for Cu Ka, from the PBE geometry in Alexandria.
Lines closer than 0.1° are merged.

Largest 12 diffraction maxima, by angle, 2θ = 10–90°:
hkl 2 0 1, d = 6.155 Å, 14.39°, I = 61; hkl 0 1 0, d = 4.739 Å, 18.72°, I = 59; hkl 2 0 2, d = 4.089 Å, 21.74°, I = 71; hkl 2 1 1, d = 3.755 Å, 23.69°, I = 44; hkl 0 1 2, d = 3.351 Å, 26.60°, I = 68; hkl 2 1 2, d = 3.096 Å, 28.84°, I = 56; hkl 4 1 1, d = 2.927 Å, 30.54°, I = 100; hkl 4 1 2, d = 2.581 Å, 34.76°, I = 74; hkl 2 1 3, d = 2.500 Å, 35.92°, I = 74; hkl 6 1 0, d = 2.345 Å, 38.39°, I = 43; hkl 6 2 2, d = 1.667 Å, 55.10°, I = 45; hkl 10 1 4, d = 1.286 Å, 73.68°, I = 41

Crystal structure
a = 16.1891 Å, b = 4.7396 Å, c = 9.4752 Å
α = 90.00°, β = 90.00°, γ = 90.00°
Space group Pca2_1 (No. 29)
Symmetry-distinct sites (fractional):
Na  0.0453  0.0254  0.0000 (multiplicity 4)
Li  0.2353  0.9589  0.7865 (multiplicity 4)
Ge  0.0954  0.4934  0.3102 (multiplicity 4)
Ge  0.0979  0.5093  0.7277 (multiplicity 4)
Ge  0.1549  0.9990  0.5193 (multiplicity 4)
Ge  0.2063  0.5005  0.0210 (multiplicity 4)
O  0.0035  0.3428  0.7821 (multiplicity 4)
O  0.0712  0.7722  0.6050 (multiplicity 4)
O  0.0730  0.2238  0.4327 (multiplicity 4)
O  0.1305  0.3564  0.1417 (multiplicity 4)
O  0.1431  0.6724  0.8852 (multiplicity 4)
O  0.1626  0.2252  0.6841 (multiplicity 4)
O  0.1635  0.7661  0.3568 (multiplicity 4)
O  0.2379  0.7653  0.6075 (multiplicity 4)
O  0.2420  0.2220  0.4367 (multiplicity 4)

=====

Theoretical X-ray diffraction stick pattern of CoBr3Cl for Cu Ka, from the PBE geometry in Alexandria.
Lines closer than 0.1° are merged.

Largest 12 diffraction maxima, by angle, 2θ = 10–90°:
hkl 0 1 0, d = 6.733 Å, 13.15°, I = 100; hkl 0 0 1, d = 6.528 Å, 13.56°, I = 35; hkl 0 1 1, d = 6.168 Å, 14.36°, I = 32; hkl 1 2 1, d = 3.714 Å, 23.96°, I = 19; hkl 2 1 0, d = 2.885 Å, 31.00°, I = 19; hkl -1 2 1, d = 2.782 Å, 32.18°, I = 21; hkl 2 0 2, d = 2.661 Å, 33.68°, I = 12; hkl 0 1 -2, d = 2.545 Å, 35.26°, I = 15; hkl 1 3 1, d = 2.522 Å, 35.60°, I = 14; hkl 2 2 3, d = 2.394 Å, 37.57°, I = 17; hkl 0 1 3, d = 2.387 Å, 37.69°, I = 14; hkl 1 4 4, d = 1.667 Å, 55.08°, I = 13

Crystal structure
a = 6.6317 Å, b = 7.7890 Å, c = 7.8801 Å
α = 60.63°, β = 66.08°, γ = 72.54°
Space group P1 (No. 1)
Symmetry-distinct sites (fractional):
Co  0.0000  0.0000  0.0000 (multiplicity 1)
Co  0.4711  0.1048  0.7836 (multiplicity 1)
Br  0.2322  0.0462  0.6627 (multiplicity 1)
Br  0.3242  0.8219  0.1041 (multiplicity 1)
Br  0.6814  0.2147  0.8930 (multiplicity 1)
Br  0.7293  0.0022  0.3143 (multiplicity 1)
Br  0.7822  0.8874  0.6731 (multiplicity 1)
Br  0.8906  0.7168  0.0461 (multiplicity 1)
Cl  0.1519  0.2662  0.9230 (multiplicity 1)
Cl  0.5575  0.3757  0.4963 (multiplicity 1)

=====

Theoretical X-ray diffraction stick pattern of PuMg2Hg6 for Cu Ka, from the PBE geometry in Alexandria.
Lines closer than 0.1° are merged.

Largest 12 diffraction maxima, by angle, 2θ = 10–90°:
hkl 1 0 3, d = 3.998 Å, 22.23°, I = 15; hkl 0 0 6, d = 3.519 Å, 25.31°, I = 22; hkl 1 1 0, d = 3.435 Å, 25.94°, I = 54; hkl 1 1 2, d = 3.267 Å, 27.30°, I = 13; hkl 1 1 4, d = 2.879 Å, 31.06°, I = 16; hkl 1 1 6, d = 2.458 Å, 36.55°, I = 100; hkl 2 0 0, d = 2.429 Å, 37.01°, I = 58; hkl 2 0 6, d = 1.999 Å, 45.37°, I = 19; hkl 2 0 8, d = 1.787 Å, 51.11°, I = 13; hkl 2 2 0, d = 1.718 Å, 53.34°, I = 20; hkl 3 1 6, d = 1.408 Å, 66.40°, I = 36; hkl 1 1 14, d = 1.381 Å, 67.87°, I = 12

Crystal structure
a = 4.8582 Å, b = 4.8582 Å, c = 21.1156 Å
α = 90.00°, β = 90.00°, γ = 90.00°
Space group I4/mmm (No. 139)
Symmetry-distinct sites (fractional):
Pu  0.0000  0.0000  0.0000 (multiplicity 2)
Mg  0.0000  0.0000  0.3270 (multiplicity 4)
Hg  0.0000  0.5000  0.0981 (multiplicity 8)
Hg  0.0000  0.5000  0.2500 (multiplicity 4)